Diffraction record for MgZn2CoO4. The X-ray powder pattern is calculated, not measured: it uses a PBE+U-relaxed structure and Cu Kα, 1.54184 Å.
Intensities are scaled so that the largest is 100.

Structural model:
```
data_MgZn2CoO4
_chemical_formula_sum 'Mg2 Zn4 Co2 O8'
_cell_length_a 4.277
_cell_length_b 4.277
_cell_length_c 8.743
_cell_angle_alpha 90.00
_cell_angle_beta 90.00
_cell_angle_gamma 90.00
_symmetry_space_group_name_H-M 'I -4 m 2'
_symmetry_Int_Tables_number 119
_symmetry_space_group_name_Hall 'I -4 -2'
loop_
_atom_site_label
_atom_site_fract_x
_atom_site_fract_y
_atom_site_fract_z
Mg1 0.000 0.000 0.000
Zn1 0.000 0.000 0.500
Zn2 0.000 0.500 0.250
Co1 0.000 0.500 0.750
O1 0.000 0.000 0.245
O2 0.000 0.500 0.002
```

Principal peaks in the range 10° ≤ 2θ ≤ 80°, in order of rising 2θ:
2θ = 20.31°, rel. 5
2θ = 23.15°, rel. 23
2θ = 36.11°, rel. 99
2θ = 37.34°, rel. 8
2θ = 41.30°, rel. 54
2θ = 42.26°, rel. 100
2θ = 48.73°, rel. 6
2θ = 60.57°, rel. 61
2θ = 61.30°, rel. 29
2θ = 71.92°, rel. 14
2θ = 73.25°, rel. 27
2θ = 76.62°, rel. 28